# NaAg4Cl6
Computed X-ray powder pattern, λ = 1.5418 Å (Cu Kα). Input: a PBE-relaxed structure.
Peak positions follow from Bragg's law for the DFT cell and can differ from measured ones.

```
NaAg4Cl6
1.0
5.244 0.000 0.000
-0.004 5.246 0.000
-1.154 -1.108 10.103
Na Ag Cl
1 4 6
direct
0.000 0.000 0.000
0.128 0.125 0.639
0.430 0.812 0.282
0.633 0.628 0.730
0.814 0.428 0.282
0.035 0.517 0.094
0.048 0.046 0.387
0.136 0.646 0.747
0.517 0.034 0.095
0.532 0.528 0.455
0.651 0.131 0.747
```

Main lines, in order of rising 2θ (2θ = 5–70°):
2θ (°), I_rel
8.8, 52
17.6, 100
23.1, 36
24.3, 65
25.6, 83
26.5, 28
32.4, 29
33.2, 29
34.6, 55
36.6, 55
37.0, 28
39.0, 34

# Na2AgCl5
Computed X-ray powder pattern, λ = 1.5418 Å (Cu Kα). Input: a PBE-relaxed structure.
Peak positions follow from Bragg's law for the DFT cell and can differ from measured ones.

```
Na2AgCl5
1.0
2.803 -6.575 0.000
2.803 6.575 0.000
0.000 0.000 12.114
Na Ag Cl
4 2 10
direct
0.171 0.829 0.581
0.171 0.829 0.919
0.829 0.171 0.081
0.829 0.171 0.419
0.177 0.823 0.250
0.823 0.177 0.750
0.048 0.952 0.107
0.048 0.952 0.393
0.308 0.692 0.105
0.308 0.692 0.395
0.310 0.690 0.750
0.690 0.310 0.250
0.692 0.308 0.605
0.692 0.308 0.895
0.952 0.048 0.607
0.952 0.048 0.893
```

Main lines, in order of rising 2θ (2θ = 5–70°):
2θ (°), I_rel
13.5, 69
14.6, 32
15.3, 62
17.2, 64
18.7, 97
25.9, 57
31.9, 72
35.2, 100
39.6, 36
41.6, 30
48.3, 69
56.1, 27